The following is a computed PXRD pattern of LiFePO4. It was derived from the PBE+U geometry in the Materials Project, using copper Kα.

Cell: 7.991 5.431 8.566 Å, 90.00 104.11 90.00°
Space group Pc (No. 7)
Inequivalent atoms, fractional coordinates:
Li 0.000 0.152 0.000 (multiplicity 2)
Li 0.534 0.336 0.710 (multiplicity 2)
Fe 0.396 0.173 0.322 (multiplicity 2)
Fe 0.904 0.337 0.632 (multiplicity 2)
P 0.280 0.330 0.943 (multiplicity 2)
P 0.776 0.170 0.259 (multiplicity 2)
O 0.095 0.337 0.832 (multiplicity 2)
O 0.254 0.192 0.094 (multiplicity 2)
O 0.357 0.409 0.490 (multiplicity 2)
O 0.405 0.192 0.860 (multiplicity 2)
O 0.615 0.320 0.273 (multiplicity 2)
O 0.729 0.102 0.706 (multiplicity 2)
O 0.859 0.296 0.133 (multiplicity 2)
O 0.908 0.166 0.426 (multiplicity 2)

Top 10 peaks for 2θ = 10–80°, by angle:
d/Å, 2θ/deg, I/Imax, h k l
4.169, 21.31, 100, 1 1 -1
3.875, 22.95, 82, 2 0 0
3.338, 26.71, 85, 1 0 2
3.164, 28.20, 40, 2 1 -1
2.793, 32.04, 48, 2 1 -2
2.716, 32.98, 27, 0 2 0
2.581, 34.75, 22, 0 2 1
2.467, 36.42, 16, 0 1 3
1.987, 45.65, 18, 3 0 2
1.583, 58.30, 27, 2 3 -2